Diffraction record for KBeH3. The powder X-ray diffraction pattern is theoretical, not measured: it uses a cell relaxed with GGA-PBE and Cu Kα X-rays.
Neutral-atom scattering factors, no anomalous dispersion.

```
KBeH3
1.0
6.861 0.000 0.000
0.000 5.497 0.000
-2.476 0.000 8.699
K Be H
4 4 12
Cartesian
1.094 1.367 1.724
-0.145 1.382 6.073
4.529 4.115 2.625
3.291 4.131 6.974
-0.782 4.090 8.673
0.456 4.156 4.323
3.929 1.342 4.375
5.167 1.407 0.026
-1.171 2.930 7.998
0.067 5.316 3.649
0.180 2.898 3.771
-1.058 5.348 8.120
2.216 3.991 1.271
0.977 4.255 5.621
3.407 1.242 3.078
2.169 1.507 7.427
5.443 0.149 0.578
4.204 2.599 4.927
4.318 0.181 5.050
5.556 2.568 0.700
```

Main lines, by intensity (5° ≤ 2θ ≤ 70°):
Position (°2θ)	I/Imax
26.72	100.0
21.03	98.8
27.02	60.0
32.02	37.8
26.13	32.3
32.58	31.9